# 1
Starting from a structure optimized by DFT (PBE), the X-ray diffraction stick pattern of ZrSb3 was computed for Cu Kα, 1.54184 Å.
Lines closer than 0.1° are merged.

Lattice parameters (Å, degrees): 6.485 6.485 5.599 90.00 90.00 120.00
Positions (direct):
Zr 0.333 0.667 0.250
Zr 0.667 0.333 0.750
Sb 0.177 0.355 0.750
Sb 0.177 0.823 0.750
Sb 0.355 0.177 0.250
Sb 0.645 0.823 0.750
Sb 0.823 0.177 0.250
Sb 0.823 0.645 0.250

Most intense lines, 2θ = 5–70°, sorted by position:
2θ = 31.9°, I = 23; 2θ = 32.0°, I = 31; 2θ = 35.8°, I = 100; 2θ = 45.8°, I = 17; 2θ = 56.8°, I = 16; 2θ = 59.5°, I = 22; 2θ = 66.7°, I = 22; 2θ = 69.0°, I = 13

***

# 2
Starting from a structure optimized by DFT (PBE), the X-ray diffraction stick pattern of ZrSb2 was computed for Cu Kα, 1.54184 Å.
Lines closer than 0.1° are merged.

Lattice parameters (Å, degrees): 10.087 15.112 3.930 90.00 90.00 90.00
Positions (direct):
Zr 0.021 0.249 0.000
Zr 0.169 0.993 0.000
Zr 0.331 0.493 0.500
Zr 0.479 0.749 0.500
Zr 0.521 0.251 0.500
Zr 0.669 0.507 0.500
Zr 0.831 0.007 0.000
Zr 0.979 0.751 0.000
Sb 0.012 0.103 0.500
Sb 0.117 0.442 0.000
Sb 0.160 0.657 0.500
Sb 0.231 0.301 0.500
Sb 0.269 0.801 0.000
Sb 0.340 0.157 0.000
Sb 0.383 0.942 0.500
Sb 0.488 0.603 0.000
Sb 0.512 0.397 0.000
Sb 0.617 0.058 0.500
Sb 0.660 0.843 0.000
Sb 0.731 0.199 0.000
Sb 0.769 0.699 0.500
Sb 0.840 0.343 0.500
Sb 0.883 0.558 0.000
Sb 0.988 0.897 0.500

Most intense lines, 2θ = 5–70°, sorted by position:
2θ = 29.4°, I = 77; 2θ = 31.2°, I = 47; 2θ = 32.0°, I = 42; 2θ = 34.1°, I = 90; 2θ = 37.1°, I = 100; 2θ = 37.6°, I = 92; 2θ = 40.0°, I = 37; 2θ = 46.2°, I = 50

***

# 3
Starting from a structure optimized by DFT (PBE), the X-ray diffraction stick pattern of ZrSb was computed for Cu Kα, 1.54184 Å.
Lines closer than 0.1° are merged.

Lattice parameters (Å, degrees): 5.608 5.608 14.213 90.00 90.00 140.20
Positions (direct):
Zr 0.071 0.929 0.608
Zr 0.071 0.929 0.892
Zr 0.381 0.619 0.750
Zr 0.619 0.381 0.250
Zr 0.929 0.071 0.108
Zr 0.929 0.071 0.392
Sb 0.331 0.669 0.250
Sb 0.357 0.643 0.549
Sb 0.357 0.643 0.951
Sb 0.643 0.357 0.049
Sb 0.643 0.357 0.451
Sb 0.669 0.331 0.750

Most intense lines, 2θ = 5–70°, sorted by position:
2θ = 31.3°, I = 91; 2θ = 34.0°, I = 43; 2θ = 34.7°, I = 95; 2θ = 35.3°, I = 47; 2θ = 35.6°, I = 100; 2θ = 35.9°, I = 31; 2θ = 39.1°, I = 47; 2θ = 47.6°, I = 41

***

# 4
Starting from a structure optimized by DFT (PBE), the X-ray diffraction stick pattern of Zr5Sb4 was computed for Cu Kα, 1.54184 Å.
Lines closer than 0.1° are merged.

Lattice parameters (Å, degrees): 8.852 8.852 5.965 90.00 90.00 120.00
Positions (direct):
Zr 0.000 0.281 0.250
Zr 0.000 0.719 0.750
Zr 0.281 0.000 0.250
Zr 0.281 0.281 0.750
Zr 0.333 0.667 0.000
Zr 0.333 0.667 0.500
Zr 0.667 0.333 0.000
Zr 0.667 0.333 0.500
Zr 0.719 0.000 0.750
Zr 0.719 0.719 0.250
Sb 0.000 0.000 0.000
Sb 0.000 0.000 0.500
Sb 0.000 0.390 0.750
Sb 0.000 0.610 0.250
Sb 0.390 0.000 0.750
Sb 0.390 0.390 0.250
Sb 0.610 0.000 0.250
Sb 0.610 0.610 0.750

Most intense lines, 2θ = 5–70°, sorted by position:
2θ = 34.4°, I = 52; 2θ = 35.1°, I = 86; 2θ = 36.3°, I = 100; 2θ = 45.3°, I = 23; 2θ = 51.4°, I = 24; 2θ = 56.1°, I = 12; 2θ = 63.8°, I = 19; 2θ = 66.4°, I = 14

***

# 5
Starting from a structure optimized by DFT (PBE), the X-ray diffraction stick pattern of Zr2Sb was computed for Cu Kα, 1.54184 Å.
Lines closer than 0.1° are merged.

Lattice parameters (Å, degrees): 8.508 8.508 8.508 151.83 151.83 40.26
Positions (direct):
Zr 0.000 0.500 0.500
Zr 0.178 0.178 0.000
Zr 0.500 0.000 0.500
Zr 0.822 0.822 0.000
Sb 0.362 0.362 0.000
Sb 0.638 0.638 0.000

Most intense lines, 2θ = 5–70°, sorted by position:
2θ = 30.5°, I = 25; 2θ = 32.6°, I = 85; 2θ = 33.7°, I = 37; 2θ = 35.5°, I = 30; 2θ = 38.1°, I = 100; 2θ = 43.7°, I = 60; 2θ = 56.3°, I = 33; 2θ = 63.5°, I = 19

***

# 6
Starting from a structure optimized by DFT (PBE), the X-ray diffraction stick pattern of ZrSb was computed for Cu Kα, 1.54184 Å.
Lines closer than 0.1° are merged.

Lattice parameters (Å, degrees): 5.692 5.692 5.692 90.00 90.00 90.00
Positions (direct):
Zr 0.143 0.143 0.143
Zr 0.357 0.857 0.643
Zr 0.643 0.357 0.857
Zr 0.857 0.643 0.357
Sb 0.157 0.343 0.657
Sb 0.343 0.657 0.157
Sb 0.657 0.157 0.343
Sb 0.843 0.843 0.843

Most intense lines, 2θ = 5–70°, sorted by position:
2θ = 27.1°, I = 12; 2θ = 31.4°, I = 12; 2θ = 35.3°, I = 100; 2θ = 38.8°, I = 53; 2θ = 47.9°, I = 9; 2θ = 53.4°, I = 11; 2θ = 60.9°, I = 38; 2θ = 65.6°, I = 8

***

# 7
Starting from a structure optimized by DFT (PBE), the X-ray diffraction stick pattern of Zr11Sb18 was computed for Cu Kα, 1.54184 Å.
Lines closer than 0.1° are merged.

Lattice parameters (Å, degrees): 30.661 30.661 30.661 167.19 167.19 18.15
Positions (direct):
Zr 0.000 0.000 0.000
Zr 0.024 0.524 0.500
Zr 0.089 0.089 0.000
Zr 0.113 0.613 0.500
Zr 0.183 0.183 0.000
Zr 0.202 0.702 0.500
Zr 0.274 0.274 0.000
Zr 0.298 0.798 0.500
Zr 0.363 0.363 0.000
Zr 0.387 0.887 0.500
Zr 0.452 0.452 0.000
Zr 0.476 0.976 0.500
Zr 0.548 0.548 0.000
Zr 0.567 0.067 0.500
Zr 0.637 0.637 0.000
Zr 0.661 0.161 0.500
Zr 0.726 0.726 0.000
Zr 0.750 0.250 0.500
Zr 0.817 0.817 0.000
Zr 0.839 0.339 0.500
Zr 0.911 0.911 0.000
Zr 0.933 0.433 0.500
Sb 0.000 0.858 0.551
Sb 0.032 0.125 0.407
Sb 0.080 0.459 0.070
Sb 0.115 0.776 0.976
Sb 0.142 0.693 0.142
Sb 0.158 0.150 0.670
Sb 0.199 0.557 0.949
Sb 0.209 0.330 0.570
Sb 0.224 0.200 0.339
Sb 0.238 0.730 0.830
Sb 0.270 0.100 0.508
Sb 0.307 0.449 0.449
Sb 0.360 0.791 0.121
Sb 0.375 0.968 0.093
Sb 0.390 0.011 0.930
Sb 0.443 0.392 0.642
Sb 0.480 0.488 0.330
Sb 0.512 0.842 0.992
Sb 0.526 0.365 0.476
Sb 0.541 0.610 0.621
Sb 0.551 0.000 0.858
Sb 0.592 0.762 0.492
Sb 0.608 0.250 0.051
Sb 0.635 0.111 0.161
Sb 0.670 0.239 0.879
Sb 0.718 0.625 0.593
Sb 0.750 0.801 0.358
Sb 0.761 0.640 0.430
Sb 0.800 0.139 0.024
Sb 0.850 0.520 0.008
Sb 0.861 0.885 0.661
Sb 0.875 0.282 0.907
Sb 0.889 0.050 0.524
Sb 0.900 0.408 0.170
Sb 0.950 0.474 0.839
Sb 0.989 0.920 0.379

Most intense lines, 2θ = 5–70°, sorted by position:
2θ = 31.0°, I = 92; 2θ = 32.4°, I = 100; 2θ = 33.5°, I = 93; 2θ = 37.2°, I = 33; 2θ = 37.6°, I = 39; 2θ = 42.9°, I = 66; 2θ = 53.1°, I = 20; 2θ = 67.3°, I = 20

***

# 8
Starting from a structure optimized by DFT (PBE), the X-ray diffraction stick pattern of Sc2Se3 was computed for Cu Kα, 1.54184 Å.
Lines closer than 0.1° are merged.

Lattice parameters (Å, degrees): 12.790 12.208 6.692 79.33 69.72 30.95
Positions (direct):
Sc 0.042 0.042 0.208
Sc 0.127 0.127 0.623
Sc 0.208 0.208 0.042
Sc 0.377 0.377 0.873
Sc 0.623 0.623 0.127
Sc 0.792 0.792 0.958
Sc 0.873 0.873 0.377
Sc 0.958 0.958 0.792
Se 0.048 0.539 0.198
Se 0.120 0.630 0.630
Se 0.198 0.715 0.048
Se 0.285 0.802 0.461
Se 0.370 0.880 0.880
Se 0.461 0.952 0.285
Se 0.539 0.048 0.715
Se 0.630 0.120 0.120
Se 0.715 0.198 0.539
Se 0.802 0.285 0.952
Se 0.880 0.370 0.370
Se 0.952 0.461 0.802

Most intense lines, 2θ = 5–70°, sorted by position:
2θ = 28.2°, I = 30; 2θ = 28.4°, I = 30; 2θ = 32.7°, I = 100; 2θ = 32.9°, I = 50; 2θ = 46.7°, I = 18; 2θ = 47.1°, I = 86; 2θ = 58.3°, I = 18; 2θ = 58.7°, I = 17